[1]
The following is a simulated X-ray diffraction stick pattern of LiCo2O4. It was derived from a cell relaxed with GGA+U, using a wavelength of 1.5418 Å.

Most intense lines, 2θ = 10–90°, most intense first:
hkl  2θ/deg  d [Å]  I (rel.)
2 1 1  36.6  2.453  100
1 1 1  24.5  3.636  59
1 0 3  36.9  2.438  57
1 1 2  31.2  2.867  55
2 2 4  65.1  1.433  47
1 0 0  15.4  5.758  38
3 2 1  59.0  1.567  32
2 0 0  31.1  2.879  28
4 0 0  64.8  1.440  24
1 0 2  27.0  3.305  22
3 1 2  55.3  1.660  19
1 0 5  59.5  1.555  14

Atomic structure:
Unit cell a=5.758 b=5.758 c=8.073 alpha=90.00 beta=90.00 gamma=90.00
Space group P4_322 (No. 95)
One atom of each set of equivalent atoms:
Li 0.000 0.245 0.000 x4
Co 0.243 0.243 0.625 x4
Co 0.252 0.500 0.250 x4
O 0.023 0.271 0.258 x8
O 0.270 0.483 0.013 x8

[2]
The following is a simulated X-ray diffraction stick pattern of Li8Co5O10. It was derived from a cell relaxed with GGA+U, using a wavelength of 1.5418 Å.

Most intense lines, 2θ = 10–90°, most intense first:
hkl  2θ/deg  d [Å]  I (rel.)
1 0 -2  25.5  3.494  100
1 -1 0  18.9  4.701  38
2 0 1  43.4  2.083  14
-1 3 1  43.6  2.076  14
2 -1 3  56.2  1.636  13
1 1 -4  48.4  1.882  11
1 0 3  44.2  2.051  11
1 1 1  33.6  2.665  10
1 -4 1  57.6  1.600  6
3 0 -1  57.3  1.609  6
2 1 -1  45.5  1.993  5
0 3 -1  45.7  1.984  5

Atomic structure:
Unit cell a=5.244 b=6.497 c=8.132 alpha=91.55 beta=103.87 gamma=112.64
Space group P1 (No. 1)
One atom of each set of equivalent atoms:
Li 0.000 0.000 0.000 x1
Li 0.029 0.177 0.276 x1
Li 0.222 0.358 0.871 x1
Li 0.405 0.531 0.490 x1
Li 0.446 0.451 0.177 x1
Li 0.638 0.624 0.801 x1
Li 0.821 0.813 0.384 x1
Li 0.852 0.990 0.666 x1
Co 0.024 0.591 0.140 x1
Co 0.228 0.794 0.737 x1
Co 0.425 0.995 0.333 x1
Co 0.629 0.190 0.933 x1
Co 0.834 0.395 0.527 x1
O 0.030 0.311 0.058 x1
O 0.043 0.880 0.218 x1
O 0.220 0.517 0.672 x1
O 0.226 0.056 0.826 x1
O 0.399 0.703 0.295 x1
O 0.453 0.283 0.377 x1
O 0.621 0.921 0.831 x1
O 0.643 0.472 0.001 x1
O 0.814 0.111 0.448 x1
O 0.839 0.677 0.609 x1

[3]
The following is a simulated X-ray diffraction stick pattern of Li2Co3O6. It was derived from a cell relaxed with GGA+U, using a wavelength of 1.5418 Å.

Most intense lines, 2θ = 10–90°, most intense first:
hkl  2θ/deg  d [Å]  I (rel.)
0 0 1  18.5  4.785  100
1 3 1  44.9  2.021  55
1 3 0  37.3  2.411  33
3 3 -1  66.2  1.412  15
2 0 -3  58.8  1.571  14
2 0 2  64.4  1.447  14
3 3 -2  69.4  1.354  13
1 3 -1  38.9  2.315  11
2 0 1  48.9  1.862  10
4 0 0  83.5  1.157  7
2 0 3  84.1  1.151  5
0 0 2  37.6  2.392  5

Atomic structure:
Unit cell a=4.892 b=8.469 c=5.057 alpha=90.00 beta=108.89 gamma=90.00
Space group C2/m (No. 12)
One atom of each set of equivalent atoms:
Li 0.000 0.166 0.000 x4
Co 0.000 0.000 0.500 x2
Co 0.000 0.335 0.500 x4
O 0.234 0.170 0.706 x8
O 0.241 0.500 0.709 x4

[4]
The following is a simulated X-ray diffraction stick pattern of Li7Co2O6. It was derived from a cell relaxed with GGA+U, using a wavelength of 1.5418 Å.

Most intense lines, 2θ = 10–90°, most intense first:
hkl  2θ/deg  d [Å]  I (rel.)
0 1 -2  27.4  3.253  100
0 1 0  19.4  4.575  89
-1 1 1  26.0  3.431  52
1 -1 0  19.5  4.559  44
0 0 2  27.9  3.203  44
1 -1 1  21.8  4.079  35
1 0 -2  30.8  2.900  31
2 -2 1  39.5  2.283  30
1 -1 2  31.1  2.877  27
1 0 -1  21.6  4.121  26
2 0 -1  39.1  2.303  18
-2 1 1  36.7  2.448  17

Atomic structure:
Unit cell a=5.281 b=5.565 c=6.902 alpha=108.98 beta=90.51 gamma=117.78
Space group P1 (No. 1)
One atom of each set of equivalent atoms:
Li 0.000 0.000 0.000 x1
Li 0.012 0.502 0.899 x1
Li 0.066 0.854 0.325 x1
Li 0.264 0.489 0.442 x1
Li 0.560 0.691 0.110 x1
Li 0.702 0.992 0.536 x1
Li 0.892 0.724 0.635 x1
Co 0.382 0.230 0.733 x1
Co 0.617 0.214 0.233 x1
O 0.004 0.148 0.779 x1
O 0.288 0.854 0.549 x1
O 0.294 0.878 0.102 x1
O 0.644 0.568 0.341 x1
O 0.711 0.581 0.853 x1
O 0.897 0.131 0.286 x1

[5]
The following is a simulated X-ray diffraction stick pattern of LiCo2O4. It was derived from a cell relaxed with GGA+U, using a wavelength of 1.5418 Å.

Most intense lines, 2θ = 10–90°, most intense first:
hkl  2θ/deg  d [Å]  I (rel.)
0 2 0  17.5  5.057  100
2 2 1  41.2  2.193  40
0 4 2  52.2  1.753  33
2 0 1  36.9  2.434  19
0 6 2  67.6  1.386  13
4 0 0  66.5  1.405  11
4 2 0  69.4  1.354  11
2 3 1  46.0  1.973  6
4 4 2  89.3  1.097  6
0 2 4  81.3  1.183  5
0 4 0  35.5  2.529  5
0 8 2  86.8  1.122  4

Atomic structure:
Unit cell a=5.620 b=10.114 c=4.868 alpha=90.00 beta=90.00 gamma=90.00
Space group Pmmn (No. 59, origin choice 2)
One atom of each set of equivalent atoms:
Li 0.250 0.250 0.020 x2
Li 0.250 0.750 0.656 x2
Co 0.000 0.000 0.500 x4
Co 0.250 0.505 0.003 x4
O 0.002 0.100 0.171 x8
O 0.250 0.094 0.674 x4
O 0.250 0.599 0.345 x4

[6]
The following is a simulated X-ray diffraction stick pattern of Li4Co13O28. It was derived from a cell relaxed with GGA+U, using a wavelength of 1.5418 Å.

Most intense lines, 2θ = 10–90°, most intense first:
hkl  2θ/deg  d [Å]  I (rel.)
0 1 1  17.9  4.957  100
3 0 1  44.1  2.052  15
2 0 -4  44.5  2.037  14
1 -4 1  44.8  2.024  14
1 -3 2  37.6  2.393  9
3 -1 0  37.2  2.416  9
2 1 -3  37.4  2.402  9
3 1 2  57.2  1.611  5
2 3 -1  48.4  1.881  5
-2 1 5  57.6  1.601  5
1 -5 0  58.0  1.591  5
1 -2 3  38.9  2.316  5

Atomic structure:
Unit cell a=7.471 b=8.115 c=8.643 alpha=99.96 beta=103.99 gamma=104.97
Space group P1 (No. 1)
One atom of each set of equivalent atoms:
Li 0.000 0.000 0.000 x1
Li 0.136 0.389 0.559 x1
Li 0.311 0.843 0.163 x1
Li 0.513 0.469 0.488 x1
Co 0.013 0.482 0.989 x1
Co 0.086 0.700 0.774 x1
Co 0.158 0.922 0.556 x1
Co 0.303 0.345 0.145 x1
Co 0.373 0.559 0.920 x1
Co 0.449 0.787 0.713 x1
Co 0.512 0.995 0.491 x1
Co 0.585 0.204 0.281 x1
Co 0.663 0.425 0.072 x1
Co 0.730 0.632 0.850 x1
Co 0.800 0.841 0.628 x1
Co 0.870 0.050 0.408 x1
Co 0.950 0.273 0.211 x1
O 0.002 0.712 0.965 x1
O 0.034 0.264 0.019 x1
O 0.066 0.919 0.748 x1
O 0.106 0.478 0.800 x1
O 0.120 0.127 0.540 x1
O 0.182 0.696 0.595 x1
O 0.213 0.374 0.322 x1
O 0.257 0.895 0.385 x1
O 0.281 0.570 0.104 x1
O 0.331 0.131 0.150 x1
O 0.351 0.783 0.897 x1
O 0.395 0.347 0.957 x1
O 0.427 0.000 0.682 x1
O 0.461 0.555 0.729 x1
O 0.527 0.217 0.473 x1
O 0.531 0.766 0.524 x1
O 0.573 0.432 0.262 x1
O 0.592 0.977 0.298 x1
O 0.641 0.645 0.034 x1
O 0.680 0.208 0.097 x1
O 0.721 0.856 0.825 x1
O 0.746 0.413 0.881 x1
O 0.784 0.056 0.598 x1
O 0.814 0.617 0.661 x1
O 0.861 0.280 0.398 x1
O 0.887 0.828 0.442 x1
O 0.933 0.052 0.217 x1
O 0.933 0.498 0.176 x1

[7]
The following is a simulated X-ray diffraction stick pattern of Li7Co2O6. It was derived from a cell relaxed with GGA+U, using a wavelength of 1.5418 Å.

Most intense lines, 2θ = 10–90°, most intense first:
hkl  2θ/deg  d [Å]  I (rel.)
0 0 2  13.5  6.546  100
1 -1 0  38.9  2.318  95
1 0 -2  31.1  2.874  82
1 1 0  37.7  2.386  62
0 1 2  29.7  3.009  52
0 1 1  27.4  3.256  45
1 -1 1  39.3  2.295  42
0 1 -3  34.3  2.613  35
0 1 4  37.9  2.372  34
0 1 -2  30.4  2.936  31
1 0 -1  28.2  3.159  30
1 0 3  32.7  2.739  28

Atomic structure:
Unit cell a=3.326 b=3.339 c=13.134 alpha=88.14 beta=85.72 gamma=88.21
Space group P1 (No. 1)
One atom of each set of equivalent atoms:
Li 0.000 0.000 0.000 x1
Li 0.033 0.378 0.529 x1
Li 0.086 0.397 0.351 x1
Li 0.165 0.414 0.173 x1
Li 0.535 0.875 0.530 x1
Li 0.587 0.899 0.353 x1
Li 0.639 0.894 0.176 x1
Co 0.056 0.945 0.729 x1
Co 0.531 0.547 0.856 x1
O 0.013 0.868 0.598 x1
O 0.117 0.907 0.257 x1
O 0.152 0.075 0.859 x1
O 0.532 0.631 0.007 x1
O 0.563 0.388 0.434 x1
O 0.696 0.397 0.098 x1

[8]
The following is a simulated X-ray diffraction stick pattern of Li2CoO3. It was derived from a cell relaxed with GGA+U, using a wavelength of 1.5418 Å.

Most intense lines, 2θ = 10–90°, most intense first:
hkl  2θ/deg  d [Å]  I (rel.)
0 1 -1  18.5  4.789  100
1 -2 0  41.8  2.162  40
1 2 -1  44.2  2.050  33
0 0 1  14.9  5.927  31
0 0 3  45.9  1.976  30
0 1 0  15.4  5.751  27
0 1 1  24.2  3.681  21
-1 1 1  34.9  2.574  19
2 0 -1  62.4  1.488  19
0 2 0  31.1  2.876  16
0 1 2  37.6  2.394  13
0 0 2  30.2  2.963  12

Atomic structure:
Unit cell a=2.979 b=5.960 c=6.308 alpha=103.73 beta=103.53 gamma=93.03
Space group P-1 (No. 2)
One atom of each set of equivalent atoms:
Li 0.000 0.000 0.000 x1
Li 0.000 0.500 0.000 x1
Li 0.341 0.160 0.673 x2
Co 0.329 0.680 0.675 x2
O 0.152 0.576 0.356 x2
O 0.201 0.104 0.336 x2
O 0.481 0.736 0.968 x2

[9]
The following is a simulated X-ray diffraction stick pattern of Li3Co13O16. It was derived from a cell relaxed with GGA+U, using a wavelength of 1.5418 Å.

Most intense lines, 2θ = 10–90°, most intense first:
hkl  2θ/deg  d [Å]  I (rel.)
2 0 -3  42.8  2.113  100
1 2 -2  36.8  2.442  64
1 2 2  42.9  2.110  50
0 4 -1  62.0  1.497  43
1 2 -6  62.3  1.491  28
0 0 4  37.0  2.428  21
2 0 5  62.4  1.488  14
2 4 -4  78.2  1.222  13
2 4 0  74.3  1.276  11
1 0 -1  18.7  4.740  10
0 4 3  74.4  1.275  8
0 1 -2  21.8  4.073  7

Atomic structure:
Unit cell a=5.181 b=5.991 c=9.868 alpha=98.79 beta=95.15 gamma=90.01
Space group P-1 (No. 2)
One atom of each set of equivalent atoms:
Li 0.000 0.000 0.000 x1
Li 0.372 0.562 0.246 x2
Co 0.000 0.500 0.000 x1
Co 0.123 0.686 0.754 x2
Co 0.124 0.190 0.754 x2
Co 0.253 0.872 0.498 x2
Co 0.257 0.377 0.501 x2
Co 0.368 0.062 0.245 x2
Co 0.500 0.251 0.000 x2
O 0.053 0.594 0.377 x2
O 0.061 0.094 0.374 x2
O 0.189 0.283 0.123 x2
O 0.189 0.780 0.124 x2
O 0.309 0.469 0.878 x2
O 0.318 0.967 0.872 x2
O 0.433 0.150 0.625 x2
O 0.436 0.661 0.625 x2

[10]
The following is a simulated X-ray diffraction stick pattern of Li7Co2O6. It was derived from a cell relaxed with GGA+U, using a wavelength of 1.5418 Å.

Most intense lines, 2θ = 10–90°, most intense first:
hkl  2θ/deg  d [Å]  I (rel.)
1 0 1  26.0  3.427  100
1 1 0  14.3  6.196  40
4 0 0  41.2  2.191  36
2 1 0  22.7  3.919  31
1 1 1  28.0  3.192  30
5 0 1  58.2  1.586  25
4 1 1  49.4  1.846  19
3 1 1  40.6  2.223  16
4 0 2  65.8  1.419  15
5 4 1  73.8  1.284  14
0 0 2  48.9  1.862  14
5 1 0  53.3  1.718  9

Atomic structure:
Unit cell a=8.762 b=8.762 c=3.724 alpha=90.00 beta=90.00 gamma=90.00
Space group P-4n2 (No. 118)
One atom of each set of equivalent atoms:
Li 0.000 0.000 0.000 x2
Li 0.111 0.175 0.710 x8
Li 0.159 0.341 0.250 x4
Co 0.115 0.615 0.750 x4
O 0.101 0.399 0.750 x4
O 0.114 0.830 0.778 x8